No. 1
Pm4SnO3: computed powder XRD pattern (copper Kα), based on DFT lattice parameters and positions (PBE).

Largest 10 diffraction maxima, sorted by position, 10 to 90 degrees two-theta:
index, 2theta, d/Å, I/Imax
1 1 0, 17.8, 4.997, 12
2 0 0, 25.2, 3.533, 53
2 1 1, 31.0, 2.885, 12
2 2 0, 35.9, 2.498, 100
2 2 2, 44.4, 2.040, 20
4 0 0, 51.7, 1.767, 21
4 2 0, 58.4, 1.580, 21
4 2 2, 64.6, 1.442, 37
4 4 0, 76.2, 1.249, 13
6 2 0, 87.3, 1.117, 17

Cell and atoms:
```
data_Pm4SnO3
_cell_length_a 7.066
_cell_length_b 7.066
_cell_length_c 7.066
_cell_angle_alpha 90.00
_cell_angle_beta 90.00
_cell_angle_gamma 90.00
_symmetry_space_group_name_H-M 'P m -3 n'
_symmetry_Int_Tables_number 223
_symmetry_space_group_name_Hall '-P 4n 2 3'
loop_
_atom_site_label
_atom_site_type_symbol
_atom_site_fract_x
_atom_site_fract_y
_atom_site_fract_z
Pm1 Pm 0.250 0.250 0.250
Sn1 Sn 0.000 0.000 0.000
O1 O 0.000 0.250 0.500
```



No. 2
Sc3Ga3Si: computed powder XRD pattern (copper Kα), based on DFT lattice parameters and positions (PBE).

Largest 10 diffraction maxima, sorted by position, 10 to 90 degrees two-theta:
index, 2theta, d/Å, I/Imax
1 0 1, 23.5, 3.786, 25
1 1 2, 34.0, 2.638, 100
1 0 5, 34.5, 2.596, 30
1 1 4, 38.5, 2.338, 34
0 1 7, 42.9, 2.110, 49
1 1 6, 45.2, 2.006, 46
0 2 0, 46.0, 1.975, 30
2 0 0, 46.8, 1.939, 28
2 1 7, 65.4, 1.428, 26
2 2 0, 67.7, 1.384, 18

Cell and atoms:
```
data_Sc3Ga3Si
_cell_length_a 3.878
_cell_length_b 3.949
_cell_length_c 17.472
_cell_angle_alpha 90.00
_cell_angle_beta 90.00
_cell_angle_gamma 90.00
_symmetry_space_group_name_H-M 'I m m 2'
_symmetry_Int_Tables_number 44
loop_
_symmetry_equiv_pos_as_xyz
'x,y,z'
'-x,-y,z'
'-x,y,z'
'x,-y,z'
'x+1/2,y+1/2,z+1/2'
'-x+1/2,-y+1/2,z+1/2'
'-x+1/2,y+1/2,z+1/2'
'x+1/2,-y+1/2,z+1/2'
loop_
_atom_site_label
_atom_site_type_symbol
_atom_site_fract_x
_atom_site_fract_y
_atom_site_fract_z
Sc1 Sc 0.000 0.000 0.000
Sc2 Sc 0.000 0.000 0.373
Sc3 Sc 0.000 0.500 0.193
Ga1 Ga 0.000 0.000 0.536
Ga2 Ga 0.000 0.000 0.839
Ga3 Ga 0.000 0.500 0.621
Si1 Si 0.000 0.500 0.755
```



No. 3
CsK5Rb7: computed powder XRD pattern (copper Kα), based on DFT lattice parameters and positions (PBE).

Largest 10 diffraction maxima, sorted by position, 10 to 90 degrees two-theta:
index, 2theta, d/Å, I/Imax
2 0 0, 10.5, 8.397, 19
1 3 -1, 19.4, 4.579, 30
4 0 0, 21.2, 4.198, 34
1 3 1, 22.1, 4.027, 100
4 2 -1, 22.2, 4.008, 99
2 0 -2, 22.4, 3.969, 67
1 5 0, 27.1, 3.293, 19
2 4 -2, 31.0, 2.882, 22
5 3 1, 37.6, 2.392, 21
5 5 0, 37.9, 2.375, 26

Cell and atoms:
```
data_CsK5Rb7
_cell_length_a 18.522
_cell_length_b 16.788
_cell_length_c 7.943
_cell_angle_alpha 90.00
_cell_angle_beta 114.93
_cell_angle_gamma 90.00
_symmetry_space_group_name_H-M 'C 1 m 1'
_symmetry_Int_Tables_number 8
loop_
_symmetry_equiv_pos_as_xyz
'x,y,z'
'x,-y,z'
'x+1/2,y+1/2,z'
'x+1/2,-y+1/2,z'
loop_
_atom_site_label
_atom_site_type_symbol
_atom_site_fract_x
_atom_site_fract_y
_atom_site_fract_z
Cs1 Cs 0.000 0.000 0.000
K1 K 0.208 0.210 0.145
K2 K 0.209 0.000 0.711
K3 K 0.285 0.287 0.721
Rb1 Rb 0.000 0.206 0.495
Rb2 Rb 0.129 0.500 0.644
Rb3 Rb 0.287 0.500 0.281
Rb4 Rb 0.361 0.000 0.381
Rb5 Rb 0.495 0.133 0.012
```



No. 4
HoPdRh4: computed powder XRD pattern (copper Kα), based on DFT lattice parameters and positions (PBE).

Largest 10 diffraction maxima, sorted by position, 10 to 90 degrees two-theta:
index, 2theta, d/Å, I/Imax
1 1 1, 20.9, 4.257, 2
2 2 0, 34.4, 2.607, 35
3 1 1, 40.6, 2.223, 100
2 2 2, 42.5, 2.129, 32
4 2 2, 61.6, 1.505, 13
5 1 1, 65.8, 1.419, 31
4 4 0, 72.5, 1.304, 26
6 2 0, 82.8, 1.166, 6
5 3 3, 86.6, 1.125, 11
6 2 2, 87.8, 1.112, 12

Cell and atoms:
```
data_HoPdRh4
_cell_length_a 7.374
_cell_length_b 7.374
_cell_length_c 7.374
_cell_angle_alpha 90.00
_cell_angle_beta 90.00
_cell_angle_gamma 90.00
_symmetry_space_group_name_H-M 'F -4 3 m'
_symmetry_Int_Tables_number 216
_symmetry_space_group_name_Hall 'F -4 2 3'
loop_
_atom_site_label
_atom_site_type_symbol
_atom_site_fract_x
_atom_site_fract_y
_atom_site_fract_z
Ho1 Ho 0.000 0.000 0.000
Pd1 Pd 0.250 0.250 0.750
Rh1 Rh 0.125 0.125 0.375
```



No. 5
Nd2ZnGa3: computed powder XRD pattern (copper Kα), based on DFT lattice parameters and positions (PBE).

Largest 10 diffraction maxima, sorted by position, 10 to 90 degrees two-theta:
index, 2theta, d/Å, I/Imax
0 1 3, 27.0, 3.303, 13
1 0 3, 27.9, 3.195, 18
1 1 2, 32.0, 2.793, 100
0 1 5, 36.1, 2.486, 30
1 0 5, 36.9, 2.439, 23
0 2 0, 41.2, 2.189, 22
2 0 0, 43.8, 2.068, 19
1 0 7, 47.5, 1.912, 15
2 1 5, 58.0, 1.590, 15
2 2 0, 61.7, 1.503, 13

Cell and atoms:
```
data_Nd2ZnGa3
_cell_length_a 4.136
_cell_length_b 4.379
_cell_length_c 15.097
_cell_angle_alpha 90.00
_cell_angle_beta 90.00
_cell_angle_gamma 90.00
_symmetry_space_group_name_H-M 'I m m 2'
_symmetry_Int_Tables_number 44
loop_
_symmetry_equiv_pos_as_xyz
'x,y,z'
'-x,-y,z'
'-x,y,z'
'x,-y,z'
'x+1/2,y+1/2,z+1/2'
'-x+1/2,-y+1/2,z+1/2'
'-x+1/2,y+1/2,z+1/2'
'x+1/2,-y+1/2,z+1/2'
loop_
_atom_site_label
_atom_site_type_symbol
_atom_site_fract_x
_atom_site_fract_y
_atom_site_fract_z
Nd1 Nd 0.000 0.000 0.000
Nd2 Nd 0.000 0.500 0.261
Zn1 Zn 0.000 0.000 0.590
Ga1 Ga 0.000 0.000 0.426
Ga2 Ga 0.000 0.500 0.670
Ga3 Ga 0.000 0.500 0.836
```



No. 6
LiNd6Mg5: computed powder XRD pattern (copper Kα), based on DFT lattice parameters and positions (PBE).

Largest 10 diffraction maxima, sorted by position, 10 to 90 degrees two-theta:
index, 2theta, d/Å, I/Imax
0 0 2, 22.8, 3.899, 26
1 3 0, 23.0, 3.871, 52
2 0 0, 32.6, 2.745, 100
0 6 0, 32.7, 2.736, 20
2 0 2, 40.3, 2.240, 24
2 6 0, 46.9, 1.936, 14
3 3 0, 52.8, 1.733, 17
2 0 4, 58.1, 1.588, 15
3 3 2, 58.3, 1.582, 30
4 6 0, 78.0, 1.225, 13

Cell and atoms:
```
data_LiNd6Mg5
_cell_length_a 5.478
_cell_length_b 16.415
_cell_length_c 7.798
_cell_angle_alpha 90.00
_cell_angle_beta 90.00
_cell_angle_gamma 90.00
_symmetry_space_group_name_H-M 'C m m m'
_symmetry_Int_Tables_number 65
_symmetry_space_group_name_Hall '-C 2 2'
loop_
_atom_site_label
_atom_site_type_symbol
_atom_site_fract_x
_atom_site_fract_y
_atom_site_fract_z
Li1 Li 0.000 0.000 0.000
Nd1 Nd 0.000 0.166 0.252
Nd2 Nd 0.000 0.500 0.251
Mg1 Mg 0.000 0.000 0.500
Mg2 Mg 0.000 0.331 0.000
Mg3 Mg 0.000 0.333 0.500
```